No. 1
# Y5Sb4O
Theoretical X-ray diffraction stick pattern, Cu Kα X-rays. Input: DFT lattice parameters and positions (PBE).
Lines closer than 0.1° are merged.

Crystal structure
```
data_Y5Sb4O
_cell_length_a 9.4272
_cell_length_b 9.4272
_cell_length_c 6.1780
_cell_angle_alpha 90.00
_cell_angle_beta 90.00
_cell_angle_gamma 90.00
_symmetry_space_group_name_H-M 'I 4'
_symmetry_Int_Tables_number 79
loop_
_symmetry_equiv_pos_as_xyz
'x,y,z'
'-y,x,z'
'-x,-y,z'
'y,-x,z'
'x+1/2,y+1/2,z+1/2'
'-y+1/2,x+1/2,z+1/2'
'-x+1/2,-y+1/2,z+1/2'
'y+1/2,-x+1/2,z+1/2'
loop_
_atom_site_label
_atom_site_type_symbol
_atom_site_fract_x
_atom_site_fract_y
_atom_site_fract_z
Y1 Y 0.0000 0.0000 0.0000
Y2 Y 0.0981 0.7255 0.5898
Sb1 Sb 0.0893 0.6966 0.0907
O1 O 0.0000 0.0000 0.6505
```

Largest 12 diffraction maxima, most intense first, 15 to 90 degrees two-theta:
hkl  Position (°2θ)  I/Imax
3 1 0  29.97  100
3 1 2  42.13  72
0 0 2  28.90  50
2 4 0  42.90  33
2 4 2  52.56  32
1 7 2  78.07  16
3 1 4  68.41  15
1 7 0  70.65  13
3 0 1  31.95  13
6 2 2  70.10  12
6 2 0  62.29  9
2 4 4  76.45  8



No. 2
# Y4Sb3O
Theoretical X-ray diffraction stick pattern, Cu Kα X-rays. Input: DFT lattice parameters and positions (PBE).
Lines closer than 0.1° are merged.

Crystal structure
```
data_Y4Sb3O
_cell_length_a 11.9706
_cell_length_b 6.1593
_cell_length_c 6.1606
_cell_angle_alpha 90.00
_cell_angle_beta 90.00
_cell_angle_gamma 90.00
_symmetry_space_group_name_H-M 'P m n 21'
_symmetry_Int_Tables_number 31
loop_
_symmetry_equiv_pos_as_xyz
'x,y,z'
'-x+1/2,-y,z+1/2'
'-x,y,z'
'x+1/2,-y,z+1/2'
loop_
_atom_site_label
_atom_site_type_symbol
_atom_site_fract_x
_atom_site_fract_y
_atom_site_fract_z
Y1 Y 0.0000 0.1553 0.0000
Y2 Y 0.0000 0.7470 0.4052
Y3 Y 0.2472 0.7575 0.0029
Sb1 Sb 0.0000 0.2465 0.4994
Sb2 Sb 0.2497 0.2577 0.0032
O1 O 0.0000 0.8164 0.0668
```

Largest 12 diffraction maxima, most intense first, 15 to 90 degrees two-theta:
hkl  Position (°2θ)  I/Imax
0 0 2  28.99  100
4 0 2  42.10  72
4 0 0  29.86  55
4 2 2  51.93  32
0 2 2  41.46  31
1 1 2  33.37  16
1 0 1  16.18  16
8 0 2  69.89  15
4 2 4  76.07  13
4 0 4  68.53  12
3 1 2  39.76  11
2 0 2  32.70  10



No. 3
# Zn3Sb2O7
Theoretical X-ray diffraction stick pattern, Cu Kα X-rays. Input: DFT lattice parameters and positions (PBE).
Lines closer than 0.1° are merged.

Crystal structure
```
data_Zn3Sb2O7
_cell_length_a 19.2860
_cell_length_b 5.5185
_cell_length_c 5.4701
_cell_angle_alpha 90.00
_cell_angle_beta 90.00
_cell_angle_gamma 90.00
_symmetry_space_group_name_H-M 'C m c 21'
_symmetry_Int_Tables_number 36
loop_
_symmetry_equiv_pos_as_xyz
'x,y,z'
'-x,-y,z+1/2'
'-x,y,z'
'x,-y,z+1/2'
'x+1/2,y+1/2,z'
'-x+1/2,-y+1/2,z+1/2'
'-x+1/2,y+1/2,z'
'x+1/2,-y+1/2,z+1/2'
loop_
_atom_site_label
_atom_site_type_symbol
_atom_site_fract_x
_atom_site_fract_y
_atom_site_fract_z
Zn1 Zn 0.0000 0.2468 0.0000
Zn2 Zn 0.2056 0.2898 0.9591
Sb1 Sb 0.1044 0.2387 0.4978
O1 O 0.0000 0.0991 0.3419
O2 O 0.0792 0.4257 0.8361
O3 O 0.1438 0.0864 0.1801
O4 O 0.2051 0.3621 0.5855
```

Largest 12 diffraction maxima, most intense first, 15 to 90 degrees two-theta:
hkl  Position (°2θ)  I/Imax
0 0 2  32.72  100
5 1 3  58.41  25
0 2 0  32.45  19
5 3 1  58.05  17
0 2 2  46.77  17
10 2 2  68.58  10
10 0 0  47.12  9
10 0 2  58.56  9
1 1 1  23.36  8
15 1 1  78.33  6
0 2 1  36.46  5
3 1 1  26.81  5



No. 4
# ZnSb2O6
Theoretical X-ray diffraction stick pattern, Cu Kα X-rays. Input: DFT lattice parameters and positions (PBE).
Lines closer than 0.1° are merged.

Crystal structure
```
data_ZnSb2O6
_cell_length_a 7.5935
_cell_length_b 5.4933
_cell_length_c 5.2105
_cell_angle_alpha 90.00
_cell_angle_beta 90.00
_cell_angle_gamma 90.00
_symmetry_space_group_name_H-M 'P m n 21'
_symmetry_Int_Tables_number 31
loop_
_symmetry_equiv_pos_as_xyz
'x,y,z'
'-x+1/2,-y,z+1/2'
'-x,y,z'
'x+1/2,-y,z+1/2'
loop_
_atom_site_label
_atom_site_type_symbol
_atom_site_fract_x
_atom_site_fract_y
_atom_site_fract_z
Zn1 Zn 0.0000 0.1855 0.0000
Sb1 Sb 0.2479 0.7447 0.9750
O1 O 0.0000 0.2805 0.6193
O2 O 0.0000 0.8011 0.8560
O3 O 0.1797 0.9720 0.2575
O4 O 0.1833 0.4375 0.1539
```

Largest 12 diffraction maxima, most intense first, 15 to 90 degrees two-theta:
hkl  Position (°2θ)  I/Imax
2 1 1  33.45  100
0 1 1  23.53  59
2 0 0  23.43  26
0 2 0  32.60  24
0 2 2  48.14  24
2 1 3  61.05  24
0 0 2  34.42  20
2 3 1  58.72  17
2 2 2  54.21  16
1 0 1  20.67  14
4 0 0  47.92  13
4 2 0  59.16  12



No. 5
# ZrSb4O12
Theoretical X-ray diffraction stick pattern, Cu Kα X-rays. Input: DFT lattice parameters and positions (PBE).
Lines closer than 0.1° are merged.

Crystal structure
```
data_ZrSb4O12
_cell_length_a 7.8084
_cell_length_b 7.8084
_cell_length_c 7.4584
_cell_angle_alpha 90.00
_cell_angle_beta 90.00
_cell_angle_gamma 90.00
_symmetry_space_group_name_H-M 'I 4/m m m'
_symmetry_Int_Tables_number 139
_symmetry_space_group_name_Hall '-I 4 2'
loop_
_atom_site_label
_atom_site_type_symbol
_atom_site_fract_x
_atom_site_fract_y
_atom_site_fract_z
Zr1 Zr 0.0000 0.0000 0.0000
Sb1 Sb 0.2500 0.2500 0.2500
O1 O 0.0000 0.2339 0.1792
O2 O 0.1947 0.1947 0.5000
```

Largest 12 diffraction maxima, most intense first, 15 to 90 degrees two-theta:
hkl  Position (°2θ)  I/Imax
2 0 2  33.22  100
2 0 0  22.78  94
4 2 2  58.36  46
2 2 0  32.43  45
0 0 2  23.86  36
4 0 0  46.52  35
2 2 4  59.86  26
1 0 1  16.44  23
4 0 2  52.94  19
2 0 4  54.54  16
4 2 0  52.40  16
2 2 2  40.66  16



No. 6
# Sc5O2
Theoretical X-ray diffraction stick pattern, Cu Kα X-rays. Input: DFT lattice parameters and positions (PBE).
Lines closer than 0.1° are merged.

Crystal structure
```
data_Sc5O2
_cell_length_a 14.2889
_cell_length_b 5.5686
_cell_length_c 6.1424
_cell_angle_alpha 90.00
_cell_angle_beta 104.65
_cell_angle_gamma 90.00
_symmetry_space_group_name_H-M 'C 1 2/c 1'
_symmetry_Int_Tables_number 15
loop_
_symmetry_equiv_pos_as_xyz
'x,y,z'
'-x,-y,-z'
'-x,y,-z+1/2'
'x,-y,z+1/2'
'x+1/2,y+1/2,z'
'-x+1/2,-y+1/2,-z'
'-x+1/2,y+1/2,-z+1/2'
'x+1/2,-y+1/2,z+1/2'
loop_
_atom_site_label
_atom_site_type_symbol
_atom_site_fract_x
_atom_site_fract_y
_atom_site_fract_z
Sc1 Sc 0.0000 0.0939 0.2500
Sc2 Sc 0.1023 0.4266 0.9634
Sc3 Sc 0.2025 0.0681 0.6387
O1 O 0.1515 0.2466 0.3052
```

Largest 12 diffraction maxima, most intense first, 15 to 90 degrees two-theta:
hkl  Position (°2θ)  I/Imax
5 1 0  36.28  100
2 2 -1  36.60  40
4 0 -2  34.47  26
7 1 -1  47.59  19
3 3 1  57.08  18
9 1 -2  62.94  16
4 2 -2  47.85  14
7 3 -1  68.42  12
8 2 1  69.12  10
6 0 2  56.39  10
3 1 1  31.78  9
0 2 0  32.15  8



No. 7
# Sc5O
Theoretical X-ray diffraction stick pattern, Cu Kα X-rays. Input: DFT lattice parameters and positions (PBE).
Lines closer than 0.1° are merged.

Crystal structure
```
data_Sc5O
_cell_length_a 8.6399
_cell_length_b 7.6724
_cell_length_c 8.5099
_cell_angle_alpha 90.00
_cell_angle_beta 119.23
_cell_angle_gamma 90.00
_symmetry_space_group_name_H-M 'C 1 2/c 1'
_symmetry_Int_Tables_number 15
loop_
_symmetry_equiv_pos_as_xyz
'x,y,z'
'-x,-y,-z'
'-x,y,-z+1/2'
'x,-y,z+1/2'
'x+1/2,y+1/2,z'
'-x+1/2,-y+1/2,-z'
'-x+1/2,y+1/2,-z+1/2'
'x+1/2,-y+1/2,z+1/2'
loop_
_atom_site_label
_atom_site_type_symbol
_atom_site_fract_x
_atom_site_fract_y
_atom_site_fract_z
Sc1 Sc 0.0000 0.0621 0.2500
Sc2 Sc 0.0386 0.2888 0.9600
Sc3 Sc 0.2103 0.4305 0.3484
O1 O 0.0000 0.0000 0.0000
```

Largest 12 diffraction maxima, most intense first, 15 to 90 degrees two-theta:
hkl  Position (°2θ)  I/Imax
0 2 2  33.63  100
1 3 -1  37.18  84
1 1 -3  34.20  60
1 1 2  33.78  53
3 1 -2  33.92  46
2 2 -1  31.18  42
3 1 0  37.66  28
4 0 0  48.27  26
2 0 -4  42.49  25
2 4 1  57.96  25
2 2 0  33.32  22
2 0 0  23.60  22